Starting from a PBE-relaxed structure, the powder diffraction line list of LaEr4Cd was computed for Cu Kα (λ = 1.5418 Å).
Neutral-atom scattering factors, no anomalous dispersion.

Structural model:
```
6
Lattice="3.5926 0.0000 0.0000 0.0000 3.5926 0.0000 0.0000 0.0000 13.9907" Properties=species:S:1:pos:R:3 pbc="T T T"
La 0.0000 0.0000 0.0000
Er 0.0000 0.0000 4.9785
Er 0.0000 0.0000 9.0122
Er 1.7963 1.7963 2.5535
Er 1.7963 1.7963 11.4371
Cd 1.7963 1.7963 6.9953
```

Principal peaks in the range 2θ = 10–80°, low angle first:
31.4°, I = 100; 35.3°, I = 40; 35.8°, I = 5; 38.6°, I = 11; 48.4°, I = 5; 50.8°, I = 14; 53.3°, I = 16; 58.7°, I = 9; 61.0°, I = 30; 65.6°, I = 9

***

Starting from a PBE-relaxed structure, the powder diffraction line list of La5ErCd3 was computed for Cu Kα (λ = 1.5418 Å).
Neutral-atom scattering factors, no anomalous dispersion.

Structural model:
```
18
Lattice="9.6091 0.0000 0.0000 -4.8045 8.3217 0.0000 0.0000 0.0000 7.1085" Properties=species:S:1:pos:R:3 pbc="T T T"
La -1.6160 2.7989 1.7771
La -3.1886 5.5228 5.3313
La 0.0000 5.5478 0.0000
La 0.0000 5.5478 3.5542
La 3.2319 0.0000 1.7771
La 1.6160 2.7989 5.3313
La 6.3771 0.0000 5.3313
La 3.1886 5.5228 1.7771
La 4.8045 2.7739 0.0000
La 4.8045 2.7739 3.5542
Er 0.0000 0.0000 0.0000
Er 0.0000 0.0000 3.5542
Cd -1.5526 2.6892 5.3313
Cd -3.2519 5.6325 1.7771
Cd 3.1052 0.0000 5.3313
Cd 1.5526 2.6892 1.7771
Cd 6.5039 0.0000 1.7771
Cd 3.2519 5.6325 5.3313
```

Principal peaks in the range 2θ = 10–80°, low angle first:
31.3°, I = 100; 32.3°, I = 98; 41.3°, I = 7; 45.6°, I = 35; 51.4°, I = 9; 56.9°, I = 36; 57.5°, I = 18; 62.0°, I = 29; 67.5°, I = 11; 76.3°, I = 15

***

Starting from a PBE-relaxed structure, the powder diffraction line list of La3ErCd was computed for Cu Kα (λ = 1.5418 Å).
Neutral-atom scattering factors, no anomalous dispersion.

Structural model:
```
10
Lattice="3.8773 0.0000 0.0000 0.0000 10.8590 0.0000 0.0000 0.0000 8.2916" Properties=species:S:1:pos:R:3 pbc="T T T"
La 0.9693 0.0231 2.0304
La 0.9693 5.4064 2.0304
La 0.9693 8.1443 4.5608
La 2.9080 2.7148 3.7308
La 2.9080 5.4526 6.2612
La 2.9080 10.8360 6.2612
Er 0.9693 8.1443 7.8115
Er 2.9080 2.7148 0.4801
Cd 0.9693 2.7148 6.4035
Cd 2.9080 8.1443 1.8881
```

Principal peaks in the range 2θ = 10–80°, low angle first:
27.1°, I = 44; 30.3°, I = 100; 32.7°, I = 42; 33.0°, I = 40; 33.5°, I = 21; 40.1°, I = 18; 40.4°, I = 21; 52.8°, I = 16; 57.3°, I = 16; 63.4°, I = 22

***

Starting from a PBE-relaxed structure, the powder diffraction line list of La2ErCd4 was computed for Cu Kα (λ = 1.5418 Å).
Neutral-atom scattering factors, no anomalous dispersion.

Structural model:
```
14
Lattice="5.4100 0.0000 0.0000 0.0000 5.4100 0.0000 0.0000 0.0000 14.4568" Properties=species:S:1:pos:R:3 pbc="T T T"
La 0.0000 0.0000 3.4454
La 0.0000 0.0000 11.0114
La 2.7050 2.7050 3.7830
La 2.7050 2.7050 10.6738
Er 0.0000 0.0000 7.2284
Er 2.7050 2.7050 0.0000
Cd 0.0000 2.7050 1.5354
Cd 0.0000 2.7050 5.6929
Cd 0.0000 2.7050 8.7638
Cd 0.0000 2.7050 12.9213
Cd 2.7050 0.0000 1.5354
Cd 2.7050 0.0000 5.6929
Cd 2.7050 0.0000 8.7638
Cd 2.7050 0.0000 12.9213
```

Principal peaks in the range 2θ = 10–80°, low angle first:
17.5°, I = 16; 24.7°, I = 16; 26.4°, I = 13; 33.1°, I = 63; 34.1°, I = 100; 47.5°, I = 22; 59.8°, I = 38; 61.7°, I = 11; 69.5°, I = 11; 79.2°, I = 10

***

Starting from a PBE-relaxed structure, the powder diffraction line list of La2ErCd5 was computed for Cu Kα (λ = 1.5418 Å).
Neutral-atom scattering factors, no anomalous dispersion.

Structural model:
```
16
Lattice="5.1803 0.0000 0.0000 0.0000 5.1803 0.0000 0.0000 0.0000 15.8205" Properties=species:S:1:pos:R:3 pbc="T T T"
La 0.0000 0.0000 3.7639
La 0.0000 0.0000 12.0565
La 2.5902 2.5902 4.1463
La 2.5902 2.5902 11.6742
Er 0.0000 0.0000 7.9102
Er 2.5902 2.5902 0.0000
Cd 0.0000 0.0000 0.0000
Cd 0.0000 2.5902 1.7478
Cd 0.0000 2.5902 6.1625
Cd 0.0000 2.5902 9.6580
Cd 0.0000 2.5902 14.0727
Cd 2.5902 0.0000 1.7478
Cd 2.5902 0.0000 6.1625
Cd 2.5902 0.0000 9.6580
Cd 2.5902 0.0000 14.0727
Cd 2.5902 2.5902 7.9102
```

Principal peaks in the range 2θ = 10–80°, low angle first:
33.3°, I = 100; 34.6°, I = 49; 42.2°, I = 4; 45.9°, I = 8; 49.8°, I = 17; 58.7°, I = 15; 61.2°, I = 33; 70.0°, I = 8; 73.1°, I = 5; 76.8°, I = 4

***

Starting from a PBE-relaxed structure, the powder diffraction line list of LaErCd3 was computed for Cu Kα (λ = 1.5418 Å).
Neutral-atom scattering factors, no anomalous dispersion.

Structural model:
```
10
Lattice="1.7609 -14.9409 0.0000 1.7609 14.9409 0.0000 0.0000 0.0000 5.0553" Properties=species:S:1:pos:R:3 pbc="T T T"
La 1.7609 12.6768 3.7915
La 1.7609 -12.6768 1.2638
Er 1.7609 8.5190 1.2638
Er 1.7609 -8.5190 3.7915
Cd 1.7609 5.3620 1.2638
Cd 1.7609 3.7289 3.7915
Cd 1.7609 0.7344 3.7915
Cd 1.7609 -0.7344 1.2638
Cd 1.7609 -3.7289 1.2638
Cd 1.7609 -5.3620 3.7915
```

Principal peaks in the range 2θ = 10–80°, low angle first:
32.3°, I = 100; 33.0°, I = 48; 34.9°, I = 83; 35.5°, I = 44; 49.2°, I = 31; 51.9°, I = 15; 61.8°, I = 27; 63.4°, I = 14; 64.1°, I = 27; 64.5°, I = 15

***

Starting from a PBE-relaxed structure, the powder diffraction line list of LaNdErCd was computed for Cu Kα (λ = 1.5418 Å).
Neutral-atom scattering factors, no anomalous dispersion.

Structural model:
```
4
Lattice="3.7271 0.0000 0.0000 0.0000 3.7271 0.0000 0.0000 0.0000 8.9388" Properties=species:S:1:pos:R:3 pbc="T T T"
La 0.0000 0.0000 0.0000
Nd 1.8635 1.8635 6.3504
Er 1.8635 1.8635 2.4591
Cd 0.0000 0.0000 4.2584
```

Principal peaks in the range 2θ = 10–80°, low angle first:
31.2°, I = 100; 34.0°, I = 44; 38.7°, I = 6; 40.4°, I = 9; 46.0°, I = 5; 48.9°, I = 16; 53.8°, I = 15; 57.1°, I = 6; 59.2°, I = 32; 65.2°, I = 9

***

Starting from a PBE-relaxed structure, the powder diffraction line list of LaSmErCd was computed for Cu Kα (λ = 1.5418 Å).
Neutral-atom scattering factors, no anomalous dispersion.

Structural model:
```
4
Lattice="3.6745 0.0000 0.0000 0.0000 3.6745 0.0000 0.0000 0.0000 9.0879" Properties=species:S:1:pos:R:3 pbc="T T T"
La 0.0000 0.0000 0.0000
Sm 1.8372 1.8372 6.4772
Er 1.8372 1.8372 2.5219
Cd 0.0000 0.0000 4.4041
```

Principal peaks in the range 2θ = 10–80°, low angle first:
31.3°, I = 100; 34.5°, I = 42; 38.5°, I = 5; 39.7°, I = 10; 49.6°, I = 15; 53.6°, I = 16; 56.5°, I = 6; 59.9°, I = 31; 65.3°, I = 9; 72.8°, I = 6

***

Starting from a PBE-relaxed structure, the powder diffraction line list of Li4ErCd8 was computed for Cu Kα (λ = 1.5418 Å).
Neutral-atom scattering factors, no anomalous dispersion.

Structural model:
```
13
Lattice="-4.9702 4.9702 2.6322 4.9702 -4.9702 2.6322 4.9702 4.9702 -2.6322" Properties=species:S:1:pos:R:3 pbc="T T T"
Li 2.4851 2.4851 -1.3161
Li 2.4851 -2.4851 1.3161
Li -2.4851 2.4851 1.3161
Li 2.4851 2.4851 1.3161
Er 0.0000 0.0000 0.0000
Cd 3.4593 0.0000 0.0000
Cd 6.4811 0.0000 0.0000
Cd 4.9702 2.8743 0.0000
Cd 0.0000 3.4593 0.0000
Cd 2.8743 4.9702 0.0000
Cd 2.0959 0.0000 2.6322
Cd 0.0000 6.4811 0.0000
Cd 0.0000 2.0959 2.6322
```

Principal peaks in the range 2θ = 10–80°, low angle first:
17.8°, I = 36; 25.3°, I = 21; 31.9°, I = 48; 34.1°, I = 39; 36.1°, I = 21; 36.8°, I = 100; 41.2°, I = 18; 50.5°, I = 14; 62.8°, I = 20; 65.4°, I = 23

***

Starting from a PBE-relaxed structure, the powder diffraction line list of Li2ErCd7 was computed for Cu Kα (λ = 1.5418 Å).
Neutral-atom scattering factors, no anomalous dispersion.

Structural model:
```
10
Lattice="4.8847 0.0000 0.0000 -2.4424 4.2303 0.0000 0.0000 0.0000 10.6861" Properties=species:S:1:pos:R:3 pbc="T T T"
Li 0.0000 0.0000 0.0000
Li 0.0000 2.8202 8.8829
Er 2.4424 1.4101 3.3925
Cd 0.0000 0.0000 2.4316
Cd 0.0000 0.0000 5.3151
Cd 0.0000 0.0000 8.1430
Cd 0.0000 2.8202 1.2710
Cd 0.0000 2.8202 4.9309
Cd 2.4424 1.4101 6.8023
Cd 2.4424 1.4101 10.0835
```

Principal peaks in the range 2θ = 10–80°, low angle first:
26.9°, I = 24; 32.9°, I = 97; 36.8°, I = 100; 39.9°, I = 29; 50.2°, I = 29; 55.4°, I = 11; 63.8°, I = 27; 66.3°, I = 17; 68.4°, I = 11; 78.3°, I = 10

***

Starting from a PBE-relaxed structure, the powder diffraction line list of LiEr8Cd2 was computed for Cu Kα (λ = 1.5418 Å).
Neutral-atom scattering factors, no anomalous dispersion.

Structural model:
```
11
Lattice="8.7801 -2.6358 0.0000 8.7801 2.6358 0.0000 -2.0398 0.0000 6.6184" Properties=species:S:1:pos:R:3 pbc="T T T"
Li 0.0000 0.0000 0.0000
Er 0.7303 0.0000 3.0086
Er 0.8753 0.0000 6.3506
Er 3.9707 0.0000 4.7691
Er 7.8965 0.0000 1.5081
Er 7.6239 0.0000 5.1103
Er 11.5497 0.0000 1.8494
Er 14.6451 0.0000 0.2678
Er 14.7901 0.0000 3.6098
Cd 4.8779 0.0000 1.9294
Cd 10.6425 0.0000 4.6890
```

Principal peaks in the range 2θ = 10–80°, low angle first:
29.0°, I = 30; 29.2°, I = 54; 31.0°, I = 46; 31.1°, I = 72; 31.6°, I = 92; 31.9°, I = 49; 33.7°, I = 100; 34.0°, I = 96; 36.3°, I = 36; 57.9°, I = 21

***

Starting from a PBE-relaxed structure, the powder diffraction line list of Li2ErCd5 was computed for Cu Kα (λ = 1.5418 Å).
Neutral-atom scattering factors, no anomalous dispersion.

Structural model:
```
16
Lattice="4.7636 0.0000 0.0000 0.0000 4.7636 0.0000 0.0000 0.0000 14.7623" Properties=species:S:1:pos:R:3 pbc="T T T"
Li 0.0000 0.0000 3.6829
Li 0.0000 0.0000 11.0794
Li 2.3818 2.3818 3.6982
Li 2.3818 2.3818 11.0641
Er 0.0000 0.0000 7.3811
Er 2.3818 2.3818 0.0000
Cd 0.0000 0.0000 0.0000
Cd 0.0000 2.3818 2.0910
Cd 0.0000 2.3818 5.2901
Cd 0.0000 2.3818 9.4722
Cd 0.0000 2.3818 12.6712
Cd 2.3818 0.0000 2.0910
Cd 2.3818 0.0000 5.2901
Cd 2.3818 0.0000 9.4722
Cd 2.3818 0.0000 12.6712
Cd 2.3818 2.3818 7.3811
```

Principal peaks in the range 2θ = 10–80°, low angle first:
12.0°, I = 20; 29.1°, I = 47; 36.1°, I = 100; 36.5°, I = 14; 37.8°, I = 49; 53.5°, I = 18; 54.5°, I = 16; 63.8°, I = 13; 67.1°, I = 31; 69.5°, I = 12

***

Repeat the seventh record exactly.
Starting from a PBE-relaxed structure, the powder diffraction line list of LaNdErCd was computed for Cu Kα (λ = 1.5418 Å).
Neutral-atom scattering factors, no anomalous dispersion.

Structural model:
```
4
Lattice="3.7271 0.0000 0.0000 0.0000 3.7271 0.0000 0.0000 0.0000 8.9388" Properties=species:S:1:pos:R:3 pbc="T T T"
La 0.0000 0.0000 0.0000
Nd 1.8635 1.8635 6.3504
Er 1.8635 1.8635 2.4591
Cd 0.0000 0.0000 4.2584
```

Principal peaks in the range 2θ = 10–80°, low angle first:
31.2°, I = 100; 34.0°, I = 44; 38.7°, I = 6; 40.4°, I = 9; 46.0°, I = 5; 48.9°, I = 16; 53.8°, I = 15; 57.1°, I = 6; 59.2°, I = 32; 65.2°, I = 9